Structure and simulated X-ray powder pattern of CeMg14C (a structure optimized by DFT (GGA-PBE); a wavelength of 1.5418 Å).
Lines closer than 0.1° are merged.

Crystal structure
Unit cell a=10.370 b=5.915 c=11.930 alpha=90.00 beta=90.00 gamma=90.00
Space group Amm2 (No. 38)
Unique sites:
Ce 0.000 0.000 0.000 (multiplicity 2)
Mg 0.000 0.233 0.264 (multiplicity 4)
Mg 0.149 0.000 0.585 (multiplicity 4)
Mg 0.254 0.248 0.882 (multiplicity 8)
Mg 0.257 0.000 0.143 (multiplicity 4)
Mg 0.500 0.000 0.485 (multiplicity 2)
Mg 0.500 0.000 0.976 (multiplicity 2)
Mg 0.500 0.247 0.727 (multiplicity 4)
C 0.000 0.000 0.427 (multiplicity 2)

Main lines, low angle first (5° ≤ 2θ ≤ 70°):
Position (°2θ), d_spacing, I (rel.)
8.5, 10.370, 75
16.7, 5.300, 31
17.1, 5.177, 45
18.8, 4.719, 33
28.4, 3.145, 26
30.9, 2.895, 33
32.2, 2.784, 31
33.8, 2.650, 47
34.7, 2.588, 100
38.1, 2.360, 74

***

Structure and simulated X-ray powder pattern of CeMg14C (a structure optimized by DFT (GGA-PBE); a wavelength of 1.5418 Å).
Lines closer than 0.1° are merged.

Crystal structure
Unit cell a=6.2775 b=6.2775 c=10.0832 alpha=90.00 beta=90.00 gamma=120.00
Space group P-6m2 (No. 187)
Unique sites:
Ce 0.0000 0.0000 0.0000 (multiplicity 1)
Mg 0.0177 0.5088 0.0000 (multiplicity 3)
Mg 0.1575 0.3151 0.2766 (multiplicity 6)
Mg 0.5070 0.0139 0.5000 (multiplicity 3)
Mg 0.6667 0.3333 0.2351 (multiplicity 2)
C 0.0000 0.0000 0.5000 (multiplicity 1)

Main lines, low angle first (5° ≤ 2θ ≤ 70°):
Position (°2θ), d_spacing, I (rel.)
8.8, 10.083, 28
16.3, 5.436, 25
18.5, 4.785, 44
29.8, 2.997, 20
31.3, 2.859, 22
33.0, 2.718, 27
35.6, 2.521, 23
37.6, 2.393, 100
49.3, 1.848, 16
58.8, 1.569, 17